(1)
Starting from a DFT-relaxed cell (GGA-PBE, OQMD), the powder X-ray diffraction pattern of NaLaHg2 was simulated for Cu Kα, 1.54184 Å.
Peak positions follow from Bragg's law for the DFT cell and can differ from measured ones.

Top 6 peaks for 5 to 70 degrees two-theta, by angle:
2θ (°), intensity, index
23.48, 21, 1 3 0
33.45, 50, 0 6 0
33.52, 100, 1 3 2
48.03, 18, 2 6 0
59.84, 38, 1 9 2
59.99, 19, 0 6 4

a b c (Å): 5.362 16.061 7.544
angles (deg): 90.00 90.00 90.00
Space group Pnnm (No. 58)
One atom of each set of equivalent atoms:
Na1 0.000 0.000 0.000 (multiplicity 2)
Na2 0.012 0.332 0.000 (multiplicity 4)
La1 0.000 0.000 0.500 (multiplicity 2)
La2 0.011 0.333 0.500 (multiplicity 4)
Hg1 0.000 0.500 0.249 (multiplicity 4)
Hg2 0.013 0.166 0.249 (multiplicity 8)



(2)
Starting from a DFT-relaxed cell (GGA-PBE, OQMD), the powder X-ray diffraction pattern of NaLaHg2 was simulated for Cu Kα, 1.54184 Å.
Peak positions follow from Bragg's law for the DFT cell and can differ from measured ones.

Top 6 peaks for 5 to 70 degrees two-theta, by angle:
2θ (°), intensity, index
20.33, 9, 1 1 0
23.52, 21, 1 0 1
33.50, 100, 2 0 0
48.11, 18, 2 0 2
54.23, 10, 3 0 1
59.90, 38, 3 2 1

a b c (Å): 5.347 7.561 5.354
angles (deg): 90.00 90.00 90.00
Space group Pmmn (No. 59, origin choice 2)
One atom of each set of equivalent atoms:
Na1 0.250 0.250 0.249 (multiplicity 2)
La1 0.250 0.750 0.247 (multiplicity 2)
Hg1 0.250 0.501 0.747 (multiplicity 4)